Dy2Tm6Ga: theoretical powder XRD pattern (copper Kα), based on a crystal structure in Alexandria, relaxed with PBE.
Kinematic intensities with the Lorentz-polarization factor, no thermal factor.

The 8 most intense peaks (5° ≤ 2θ ≤ 70°), in order of falling intensity:
2θ (°)  I_rel
33.55  1000
31.53  676
34.16  675
63.95  451
28.00  435
38.90  383
57.48  350
31.77  324

```
data_Dy2Tm6Ga
_chemical_formula_sum 'Dy4 Tm12 Ga2'
_space_group_name_H-M_alt 'C m m m'
_space_group_IT_number 65
_space_group_name_Hall '-C 2 2'
_cell_length_a 9.081
_cell_length_b 17.025
_cell_length_c 3.474
_cell_angle_alpha 90.00
_cell_angle_beta 90.00
_cell_angle_gamma 90.00
loop_
_atom_site_label
_atom_site_type_symbol
_atom_site_fract_x
_atom_site_fract_y
_atom_site_fract_z
Dy1 Dy 0.000 0.180 0.000
Tm1 Tm 0.173 0.339 0.500
Tm2 Tm 0.214 0.000 0.000
Ga1 Ga 0.000 0.500 0.500
```

=====

DyTmGa2: theoretical powder XRD pattern (copper Kα), based on a crystal structure in Alexandria, relaxed with PBE.
Kinematic intensities with the Lorentz-polarization factor, no thermal factor.

The 8 most intense peaks (5° ≤ 2θ ≤ 70°), in order of falling intensity:
2θ (°)  I_rel
31.47  1000
39.52  501
32.34  409
33.19  277
27.67  271
41.69  255
45.11  205
56.59  168

```
data_DyTmGa2
_chemical_formula_sum 'Dy2 Tm2 Ga4'
_space_group_name_H-M_alt 'A m m 2'
_space_group_IT_number 38
_space_group_name_Hall 'A 2 -2'
_cell_length_a 4.020
_cell_length_b 4.333
_cell_length_c 10.796
_cell_angle_alpha 90.00
_cell_angle_beta 90.00
_cell_angle_gamma 90.00
loop_
_atom_site_label
_atom_site_type_symbol
_atom_site_fract_x
_atom_site_fract_y
_atom_site_fract_z
Dy1 Dy 0.000 0.000 0.000
Tm1 Tm 0.500 0.000 0.278
Ga1 Ga 0.000 0.000 0.718
Ga2 Ga 0.500 0.000 0.563
```

=====

Dy2VGa6: theoretical powder XRD pattern (copper Kα), based on a crystal structure in Alexandria, relaxed with PBE.
Kinematic intensities with the Lorentz-polarization factor, no thermal factor.

The 8 most intense peaks (5° ≤ 2θ ≤ 70°), in order of falling intensity:
2θ (°)  I_rel
38.80  1000
36.47  443
34.40  276
63.22  208
35.23  201
58.03  163
30.38  145
58.33  145

```
data_Dy2VGa6
_chemical_formula_sum 'Dy2 V1 Ga6'
_space_group_name_H-M_alt 'P -3 m 1'
_space_group_IT_number 164
_space_group_name_Hall '-P 3 2"'
_cell_length_a 5.8836
_cell_length_b 5.8836
_cell_length_c 5.6295
_cell_angle_alpha 90.00
_cell_angle_beta 90.00
_cell_angle_gamma 120.00
loop_
_atom_site_label
_atom_site_type_symbol
_atom_site_fract_x
_atom_site_fract_y
_atom_site_fract_z
Dy1 Dy 0.3333 0.6667 0.3298
V1 V 0.0000 0.0000 0.5000
Ga1 Ga 0.1768 0.3536 0.8171
```

=====

Dy3YGa4: theoretical powder XRD pattern (copper Kα), based on a crystal structure in Alexandria, relaxed with PBE.
Kinematic intensities with the Lorentz-polarization factor, no thermal factor.

The 8 most intense peaks (5° ≤ 2θ ≤ 70°), in order of falling intensity:
2θ (°)  I_rel
35.55  1000
63.87  268
51.15  176
24.93  128
63.73  90
57.71  52
43.93  29
10.71  17

```
data_Dy3YGa4
_chemical_formula_sum 'Dy9 Y3 Ga12'
_space_group_name_H-M_alt 'R -3 m'
_space_group_IT_number 166
_space_group_name_Hall '-R 3 2"'
_cell_length_a 5.0465
_cell_length_b 5.0465
_cell_length_c 24.7913
_cell_angle_alpha 90.00
_cell_angle_beta 90.00
_cell_angle_gamma 120.00
loop_
_atom_site_label
_atom_site_type_symbol
_atom_site_fract_x
_atom_site_fract_y
_atom_site_fract_z
Dy1 Dy 0.0000 0.0000 0.0000
Dy2 Dy 0.0000 0.0000 0.2500
Y1 Y 0.0000 0.0000 0.5000
Ga1 Ga 0.0000 0.0000 0.1249
Ga2 Ga 0.0000 0.0000 0.3748
```

=====

DyY4Ga2: theoretical powder XRD pattern (copper Kα), based on a crystal structure in Alexandria, relaxed with PBE.
Kinematic intensities with the Lorentz-polarization factor, no thermal factor.

The 8 most intense peaks (5° ≤ 2θ ≤ 70°), in order of falling intensity:
2θ (°)  I_rel
36.38  1000
36.65  964
25.60  799
65.63  337
52.59  335
20.98  316
65.46  178
45.01  169

```
data_DyY4Ga2
_chemical_formula_sum 'Dy3 Y12 Ga6'
_space_group_name_H-M_alt 'R -3 m'
_space_group_IT_number 166
_space_group_name_Hall '-R 3 2"'
_cell_length_a 4.9393
_cell_length_b 4.9393
_cell_length_c 29.9289
_cell_angle_alpha 90.00
_cell_angle_beta 90.00
_cell_angle_gamma 120.00
loop_
_atom_site_label
_atom_site_type_symbol
_atom_site_fract_x
_atom_site_fract_y
_atom_site_fract_z
Dy1 Dy 0.0000 0.0000 0.0000
Y1 Y 0.0000 0.0000 0.2022
Y2 Y 0.0000 0.0000 0.3967
Ga1 Ga 0.0000 0.0000 0.0997
```

=====

Dy5YGa6: theoretical powder XRD pattern (copper Kα), based on a crystal structure in Alexandria, relaxed with PBE.
Kinematic intensities with the Lorentz-polarization factor, no thermal factor.

The 8 most intense peaks (5° ≤ 2θ ≤ 70°), in order of falling intensity:
2θ (°)  I_rel
35.57  1000
63.86  239
24.94  142
63.91  119
51.22  117
51.09  59
43.93  43
57.79  34

```
data_Dy5YGa6
_chemical_formula_sum 'Dy5 Y1 Ga6'
_space_group_name_H-M_alt 'P 1 2/m 1'
_space_group_IT_number 10
_space_group_name_Hall '-P 2y'
_cell_length_a 5.049
_cell_length_b 7.133
_cell_length_c 7.982
_cell_angle_alpha 90.00
_cell_angle_beta 108.30
_cell_angle_gamma 90.00
loop_
_atom_site_label
_atom_site_type_symbol
_atom_site_fract_x
_atom_site_fract_y
_atom_site_fract_z
Dy1 Dy 0.000 0.000 0.000
Dy2 Dy 0.333 0.000 0.667
Dy3 Dy 0.333 0.500 0.667
Y1 Y 0.000 0.500 0.000
Ga1 Ga 0.167 0.250 0.334
Ga2 Ga 0.500 0.250 0.000
```

=====

DyY3Ga4: theoretical powder XRD pattern (copper Kα), based on a crystal structure in Alexandria, relaxed with PBE.
Kinematic intensities with the Lorentz-polarization factor, no thermal factor.

The 8 most intense peaks (5° ≤ 2θ ≤ 70°), in order of falling intensity:
2θ (°)  I_rel
35.50  1000
63.78  262
51.08  174
63.64  88
24.90  47
10.69  24
21.52  20
57.63  18

```
data_DyY3Ga4
_chemical_formula_sum 'Dy3 Y9 Ga12'
_space_group_name_H-M_alt 'R -3 m'
_space_group_IT_number 166
_space_group_name_Hall '-R 3 2"'
_cell_length_a 5.0534
_cell_length_b 5.0534
_cell_length_c 24.8192
_cell_angle_alpha 90.00
_cell_angle_beta 90.00
_cell_angle_gamma 120.00
loop_
_atom_site_label
_atom_site_type_symbol
_atom_site_fract_x
_atom_site_fract_y
_atom_site_fract_z
Dy1 Dy 0.0000 0.0000 0.0000
Y1 Y 0.0000 0.0000 0.2500
Y2 Y 0.0000 0.0000 0.5000
Ga1 Ga 0.0000 0.0000 0.1249
Ga2 Ga 0.0000 0.0000 0.3748
```

=====

Dy2Y2ZnGa4: theoretical powder XRD pattern (copper Kα), based on a crystal structure in Alexandria, relaxed with PBE.
Kinematic intensities with the Lorentz-polarization factor, no thermal factor.

The 8 most intense peaks (5° ≤ 2θ ≤ 70°), in order of falling intensity:
2θ (°)  I_rel
32.97  1000
36.48  723
33.54  346
42.65  323
63.45  292
52.55  249
18.01  238
25.57  192

```
data_Dy2Y2ZnGa4
_chemical_formula_sum 'Dy4 Y4 Zn2 Ga8'
_space_group_name_H-M_alt 'I 4/m m m'
_space_group_IT_number 139
_space_group_name_Hall '-I 4 2'
_cell_length_a 6.966
_cell_length_b 6.966
_cell_length_c 8.679
_cell_angle_alpha 90.00
_cell_angle_beta 90.00
_cell_angle_gamma 90.00
loop_
_atom_site_label
_atom_site_type_symbol
_atom_site_fract_x
_atom_site_fract_y
_atom_site_fract_z
Dy1 Dy 0.000 0.000 0.187
Y1 Y 0.000 0.500 0.250
Zn1 Zn 0.000 0.000 0.500
Ga1 Ga 0.245 0.245 0.500
```

=====

Dy5ZnGa2: theoretical powder XRD pattern (copper Kα), based on a crystal structure in Alexandria, relaxed with PBE.
Kinematic intensities with the Lorentz-polarization factor, no thermal factor.

The 8 most intense peaks (5° ≤ 2θ ≤ 70°), in order of falling intensity:
2θ (°)  I_rel
36.03  1000
34.05  670
27.33  401
37.85  254
50.42  227
63.52  223
59.37  218
24.59  181

```
data_Dy5ZnGa2
_chemical_formula_sum 'Dy20 Zn4 Ga8'
_space_group_name_H-M_alt 'C m c m'
_space_group_IT_number 63
_space_group_name_Hall '-C 2c 2'
_cell_length_a 4.983
_cell_length_b 8.639
_cell_length_c 19.930
_cell_angle_alpha 90.00
_cell_angle_beta 90.00
_cell_angle_gamma 90.00
loop_
_atom_site_label
_atom_site_type_symbol
_atom_site_fract_x
_atom_site_fract_y
_atom_site_fract_z
Dy1 Dy 0.000 0.001 0.157
Dy2 Dy 0.000 0.332 0.750
Dy3 Dy 0.000 0.334 0.054
Zn1 Zn 0.000 0.335 0.250
Ga1 Ga 0.000 0.333 0.598
```

=====

DyZn10Ga2: theoretical powder XRD pattern (copper Kα), based on a crystal structure in Alexandria, relaxed with PBE.
Kinematic intensities with the Lorentz-polarization factor, no thermal factor.

The 8 most intense peaks (5° ≤ 2θ ≤ 70°), in order of falling intensity:
2θ (°)  I_rel
39.97  1000
39.59  738
39.88  727
34.20  488
37.36  486
44.78  445
40.79  422
44.91  286

```
data_DyZn10Ga2
_chemical_formula_sum 'Dy4 Zn40 Ga8'
_space_group_name_H-M_alt 'C m c m'
_space_group_IT_number 63
_space_group_name_Hall '-C 2c 2'
_cell_length_a 8.849
_cell_length_b 10.527
_cell_length_c 9.072
_cell_angle_alpha 90.00
_cell_angle_beta 90.00
_cell_angle_gamma 90.00
loop_
_atom_site_label
_atom_site_type_symbol
_atom_site_fract_x
_atom_site_fract_y
_atom_site_fract_z
Dy1 Dy 0.000 0.133 0.250
Zn1 Zn 0.000 0.151 0.605
Zn2 Zn 0.000 0.397 0.079
Zn3 Zn 0.143 0.377 0.750
Zn4 Zn 0.220 0.000 0.000
Zn5 Zn 0.241 0.382 0.250
Ga1 Ga 0.250 0.250 0.000
```

=====

Dy5Zn4Ga: theoretical powder XRD pattern (copper Kα), based on a crystal structure in Alexandria, relaxed with PBE.
Kinematic intensities with the Lorentz-polarization factor, no thermal factor.

The 8 most intense peaks (5° ≤ 2θ ≤ 70°), in order of falling intensity:
2θ (°)  I_rel
35.56  1000
63.93  237
63.75  119
24.99  118
51.27  117
24.86  60
50.99  59
43.93  54

```
data_Dy5Zn4Ga
_chemical_formula_sum 'Dy5 Zn4 Ga1'
_space_group_name_H-M_alt 'P 4/m m m'
_space_group_IT_number 123
_space_group_name_Hall '-P 4 2'
_cell_length_a 3.564
_cell_length_b 3.564
_cell_length_c 17.910
_cell_angle_alpha 90.00
_cell_angle_beta 90.00
_cell_angle_gamma 90.00
loop_
_atom_site_label
_atom_site_type_symbol
_atom_site_fract_x
_atom_site_fract_y
_atom_site_fract_z
Dy1 Dy 0.000 0.000 0.000
Dy2 Dy 0.000 0.000 0.199
Dy3 Dy 0.000 0.000 0.399
Zn1 Zn 0.500 0.500 0.100
Zn2 Zn 0.500 0.500 0.298
Ga1 Ga 0.500 0.500 0.500
```

=====

Dy2ZnGa3: theoretical powder XRD pattern (copper Kα), based on a crystal structure in Alexandria, relaxed with PBE.
Kinematic intensities with the Lorentz-polarization factor, no thermal factor.

The 8 most intense peaks (5° ≤ 2θ ≤ 70°), in order of falling intensity:
2θ (°)  I_rel
34.06  1000
41.17  510
54.46  260
66.65  239
23.42  179
49.94  97
55.87  35
47.91  27

```
data_Dy2ZnGa3
_chemical_formula_sum 'Dy2 Zn1 Ga3'
_space_group_name_H-M_alt 'P m m 2'
_space_group_IT_number 25
_space_group_name_Hall 'P 2 -2'
_cell_length_a 3.652
_cell_length_b 4.383
_cell_length_c 7.599
_cell_angle_alpha 90.00
_cell_angle_beta 90.00
_cell_angle_gamma 90.00
loop_
_atom_site_label
_atom_site_type_symbol
_atom_site_fract_x
_atom_site_fract_y
_atom_site_fract_z
Dy1 Dy 0.000 0.000 0.000
Dy2 Dy 0.000 0.500 0.494
Zn1 Zn 0.500 0.500 0.828
Ga1 Ga 0.500 0.000 0.333
Ga2 Ga 0.500 0.000 0.669
Ga3 Ga 0.500 0.500 0.159
```

=====

DyZnGa4: theoretical powder XRD pattern (copper Kα), based on a crystal structure in Alexandria, relaxed with PBE.
Kinematic intensities with the Lorentz-polarization factor, no thermal factor.

The 8 most intense peaks (5° ≤ 2θ ≤ 70°), in order of falling intensity:
2θ (°)  I_rel
36.42  1000
39.19  553
42.83  553
39.37  546
25.08  346
36.25  333
34.99  331
35.10  321

```
data_DyZnGa4
_chemical_formula_sum 'Dy1 Zn1 Ga4'
_space_group_name_H-M_alt 'P -1'
_space_group_IT_number 2
_space_group_name_Hall '-P 1'
_cell_length_a 4.222
_cell_length_b 5.648
_cell_length_c 5.652
_cell_angle_alpha 70.96
_cell_angle_beta 68.43
_cell_angle_gamma 68.11
loop_
_atom_site_label
_atom_site_type_symbol
_atom_site_fract_x
_atom_site_fract_y
_atom_site_fract_z
Dy1 Dy 0.000 0.000 0.000
Zn1 Zn 0.000 0.500 0.500
Ga1 Ga 0.337 0.452 0.871
Ga2 Ga 0.338 0.870 0.453
```

=====

Dy3Zn2Ga4: theoretical powder XRD pattern (copper Kα), based on a crystal structure in Alexandria, relaxed with PBE.
Kinematic intensities with the Lorentz-polarization factor, no thermal factor.

The 8 most intense peaks (5° ≤ 2θ ≤ 70°), in order of falling intensity:
2θ (°)  I_rel
33.94  1000
41.24  613
54.42  258
23.46  216
34.01  200
66.32  181
49.55  109
66.48  90

```
data_Dy3Zn2Ga4
_chemical_formula_sum 'Dy6 Zn4 Ga8'
_space_group_name_H-M_alt 'C 1 2/m 1'
_space_group_IT_number 12
_space_group_name_Hall '-C 2y'
_cell_length_a 10.582
_cell_length_b 4.381
_cell_length_c 8.415
_cell_angle_alpha 90.00
_cell_angle_beta 110.01
_cell_angle_gamma 90.00
loop_
_atom_site_label
_atom_site_type_symbol
_atom_site_fract_x
_atom_site_fract_y
_atom_site_fract_z
Dy1 Dy 0.000 0.000 0.000
Dy2 Dy 0.169 0.500 0.667
Zn1 Zn 0.104 0.500 0.274
Ga1 Ga 0.065 0.000 0.399
Ga2 Ga 0.206 0.500 0.041
```